Calculated X-ray powder pattern
Compound: BaSrInWO6
Radiation: Cu Kα X-rays
Structure: a DFT-relaxed cell (PBE+U, Alexandria)
Kinematic intensities with the Lorentz-polarization factor, no thermal factor.

Most intense lines, 2θ = 15–90°, sorted by position:
30.31°, I = 48.9, hkl 1 1 2; 30.41°, I = 100.0, hkl -1 1 2; 43.42°, I = 28.3, hkl 2 2 0; 43.65°, I = 13.7, hkl 2 -2 0; 53.93°, I = 20.7, hkl 1 3 -2; 54.04°, I = 20.7, hkl 1 -3 2; 63.20°, I = 12.7, hkl 2 2 -4; 71.67°, I = 11.1, hkl -1 1 6

Cell: 5.8724 5.8896 8.3340 Å, 89.79 89.88 89.68°
Fractional coordinates of all 20 atoms:
1 Ba 0.0084 0.0020 0.2513
2 Ba 0.9916 0.9980 0.7487
3 Sr 0.4838 0.4997 0.7500
4 Sr 0.5162 0.5003 0.2500
5 In 0.0000 0.5000 0.5000
6 In 0.5000 0.0000 0.0000
7 W 0.0000 0.5000 0.0000
8 W 0.5000 0.0000 0.5000
9 O 0.0367 0.4551 0.7579
10 O 0.2153 0.7524 0.9856
11 O 0.2487 0.7649 0.5213
12 O 0.2707 0.2847 0.0411
13 O 0.2807 0.2484 0.4658
14 O 0.4897 0.0622 0.7422
15 O 0.5103 0.9378 0.2578
16 O 0.7193 0.7516 0.5342
17 O 0.7293 0.7153 0.9589
18 O 0.7513 0.2351 0.4787
19 O 0.7847 0.2476 0.0144
20 O 0.9633 0.5449 0.2421